# 1
This entry pairs a crystal structure of RbNi2S2 with its theoretical powder diffractogram. Radiation: Cu Kα, 1.54184 Å. Structure: DFT lattice parameters and positions (GGA-PBE).

Most intense lines, 10 to 80 degrees two-theta, in order of falling intensity:
hkl 1 1 1, 37.04 deg, I = 100
hkl 1 0 1, 27.50 deg, I = 68
hkl 1 1 3, 52.79 deg, I = 65
hkl 1 0 2, 35.46 deg, I = 56
hkl 0 0 2, 25.41 deg, I = 47
hkl 0 0 1, 12.63 deg, I = 43
hkl 2 0 0, 49.84 deg, I = 42
hkl 2 1 2, 62.65 deg, I = 20
hkl 2 0 2, 56.76 deg, I = 20
hkl 2 0 4, 75.06 deg, I = 16

Cell and atoms:
```
RbNi2S2
1.0
3.6591 0.0000 0.0000
0.0000 3.6591 0.0000
0.0000 0.0000 7.0102
Rb Ni S
1 2 2
Cartesian
0.0000 0.0000 0.0000
0.0000 1.8295 3.5051
1.8295 0.0000 3.5051
1.8295 1.8295 2.1143
1.8295 1.8295 4.8959
```



# 2
This entry pairs a crystal structure of RbNiS with its theoretical powder diffractogram. Radiation: Cu Kα, 1.54184 Å. Structure: DFT lattice parameters and positions (GGA-PBE).

Most intense lines, 10 to 80 degrees two-theta, in order of falling intensity:
hkl 0 1 -2, 29.07 deg, I = 100
hkl 0 2 -1, 28.64 deg, I = 77
hkl 1 0 0, 23.67 deg, I = 63
hkl 0 1 1, 23.81 deg, I = 47
hkl 2 0 -1, 45.84 deg, I = 42
hkl 1 1 1, 38.09 deg, I = 41
hkl -1 1 2, 37.99 deg, I = 41
hkl 1 -1 1, 32.00 deg, I = 36
hkl 1 1 -2, 32.31 deg, I = 35
hkl 1 -2 0, 35.97 deg, I = 31

Cell and atoms:
```
RbNiS
1.0
3.9597 0.0000 0.0000
-0.0732 6.3816 0.0000
-1.9404 -1.8850 5.9717
Rb Ni S
2 2 2
Cartesian
-0.0196 1.5973 1.1524
1.9657 2.8992 4.8193
-0.0537 4.8968 2.5041
1.9998 -0.4003 3.4676
0.0198 -0.0524 4.2641
1.9263 4.5489 1.7076
```



What is the formula in the first record? RbNi2S2



Please write out number 2 again, unchanged.
This entry pairs a crystal structure of RbNiS with its theoretical powder diffractogram. Radiation: Cu Kα, 1.54184 Å. Structure: DFT lattice parameters and positions (GGA-PBE).

Most intense lines, 10 to 80 degrees two-theta, in order of falling intensity:
hkl 0 1 -2, 29.07 deg, I = 100
hkl 0 2 -1, 28.64 deg, I = 77
hkl 1 0 0, 23.67 deg, I = 63
hkl 0 1 1, 23.81 deg, I = 47
hkl 2 0 -1, 45.84 deg, I = 42
hkl 1 1 1, 38.09 deg, I = 41
hkl -1 1 2, 37.99 deg, I = 41
hkl 1 -1 1, 32.00 deg, I = 36
hkl 1 1 -2, 32.31 deg, I = 35
hkl 1 -2 0, 35.97 deg, I = 31

Cell and atoms:
```
RbNiS
1.0
3.9597 0.0000 0.0000
-0.0732 6.3816 0.0000
-1.9404 -1.8850 5.9717
Rb Ni S
2 2 2
Cartesian
-0.0196 1.5973 1.1524
1.9657 2.8992 4.8193
-0.0537 4.8968 2.5041
1.9998 -0.4003 3.4676
0.0198 -0.0524 4.2641
1.9263 4.5489 1.7076
```